Structure and theoretical powder X-ray diffraction pattern of CaNi2O4 (the GGA+U geometry in Alexandria; a wavelength of 1.5418 Å).
Peak positions follow from Bragg's law for the DFT cell and can differ from measured ones.

Largest 6 diffraction maxima, in order of falling intensity, 2θ = 5–70°:
33.34°, intensity 100
44.69°, intensity 53
41.48°, intensity 50
40.36°, intensity 38
31.95°, intensity 30
57.19°, intensity 27

Structural model:
```
CaNi2O4
1.0
1.534 -4.894 0.000
1.534 4.894 0.000
0.000 0.000 9.645
Ca Ni O
2 4 8
direct
0.106 0.894 0.750 Ca
0.894 0.106 0.250 Ca
0.362 0.638 0.568 Ni
0.362 0.638 0.932 Ni
0.638 0.362 0.068 Ni
0.638 0.362 0.432 Ni
0.000 0.000 0.000 O
0.000 0.000 0.500 O
0.269 0.731 0.106 O
0.269 0.731 0.394 O
0.437 0.563 0.750 O
0.563 0.437 0.250 O
0.731 0.269 0.606 O
0.731 0.269 0.894 O
```

Structure and theoretical powder X-ray diffraction pattern of Ca2Ni3O8 (the GGA+U geometry in Alexandria; a wavelength of 1.5418 Å).
Peak positions follow from Bragg's law for the DFT cell and can differ from measured ones.

Largest 6 diffraction maxima, in order of falling intensity, 2θ = 5–70°:
17.12°, intensity 100
34.93°, intensity 74
36.09°, intensity 61
57.16°, intensity 53
31.23°, intensity 48
24.43°, intensity 42

Structural model:
```
Ca2Ni3O8
1.0
5.921 0.000 0.000
-2.961 5.128 0.000
0.000 0.000 10.358
Ca Ni O
4 6 16
direct
0.333 0.667 0.000 Ca
0.333 0.667 0.405 Ca
0.667 0.333 0.500 Ca
0.667 0.333 0.905 Ca
0.166 0.332 0.721 Ni
0.166 0.834 0.721 Ni
0.332 0.166 0.221 Ni
0.668 0.834 0.721 Ni
0.834 0.166 0.221 Ni
0.834 0.668 0.221 Ni
0.000 0.000 0.318 O
0.000 0.000 0.818 O
0.044 0.522 0.818 O
0.150 0.300 0.128 O
0.150 0.850 0.128 O
0.300 0.150 0.628 O
0.333 0.667 0.624 O
0.478 0.522 0.818 O
0.478 0.956 0.818 O
0.522 0.044 0.318 O
0.522 0.478 0.318 O
0.667 0.333 0.124 O
0.700 0.850 0.128 O
0.850 0.150 0.628 O
0.850 0.700 0.628 O
0.956 0.478 0.318 O
```

Structure and theoretical powder X-ray diffraction pattern of CaNi2O4 (the GGA+U geometry in Alexandria; a wavelength of 1.5418 Å).
Peak positions follow from Bragg's law for the DFT cell and can differ from measured ones.

Largest 6 diffraction maxima, in order of falling intensity, 2θ = 5–70°:
34.04°, intensity 100
17.70°, intensity 63
60.64°, intensity 39
34.74°, intensity 37
54.50°, intensity 33
41.23°, intensity 31

Structural model:
```
CaNi2O4
1.0
-3.096 3.096 4.262
3.096 -3.096 4.262
3.096 3.096 -4.262
Ca Ni O
2 4 8
direct
0.375 0.125 0.250 Ca
0.625 0.875 0.750 Ca
0.000 0.000 0.500 Ni
0.000 0.500 0.000 Ni
0.000 0.500 0.500 Ni
0.500 0.500 0.000 Ni
0.183 0.254 0.491 O
0.192 0.683 0.429 O
0.246 0.238 0.929 O
0.262 0.692 0.009 O
0.738 0.308 0.991 O
0.754 0.762 0.071 O
0.808 0.317 0.571 O
0.817 0.746 0.509 O
```

Structure and theoretical powder X-ray diffraction pattern of Ca2Ni9O13 (the GGA+U geometry in Alexandria; a wavelength of 1.5418 Å).
Peak positions follow from Bragg's law for the DFT cell and can differ from measured ones.

Largest 6 diffraction maxima, in order of falling intensity, 2θ = 5–70°:
35.18°, intensity 100
10.80°, intensity 69
42.54°, intensity 52
43.50°, intensity 36
44.56°, intensity 33
36.38°, intensity 32

Structural model:
```
Ca2Ni9O13
1.0
4.939 -1.504 0.000
4.939 1.504 0.000
-2.491 0.000 16.384
Ca Ni O
2 9 13
direct
0.216 0.216 0.230 Ca
0.784 0.784 0.770 Ca
0.003 0.003 0.340 Ni
0.059 0.059 0.880 Ni
0.246 0.246 0.578 Ni
0.353 0.353 0.962 Ni
0.500 0.500 0.500 Ni
0.647 0.647 0.038 Ni
0.754 0.754 0.422 Ni
0.941 0.941 0.120 Ni
0.997 0.997 0.660 Ni
0.000 0.000 0.000 O
0.108 0.108 0.771 O
0.124 0.124 0.465 O
0.294 0.294 0.071 O
0.370 0.370 0.681 O
0.389 0.389 0.392 O
0.421 0.421 0.860 O
0.579 0.579 0.140 O
0.611 0.611 0.608 O
0.630 0.630 0.319 O
0.706 0.706 0.929 O
0.876 0.876 0.535 O
0.892 0.892 0.229 O
```

Which formula does entry 3 have?
CaNi2O4